The following is a simulated powder diffractogram of Nd8N6F. It was derived from a crystal structure in Alexandria, relaxed with PBE, using CuKα.
Peak positions follow from Bragg's law for the DFT cell and can differ from measured ones.

Cell and atoms:
```
Nd8N6F
1.0
9.6985 0.0000 0.0000
-4.8492 8.3991 0.0000
0.0000 0.0000 3.7023
Nd N F
8 6 1
Direct
0.0334 0.3619 0.2468
0.3285 0.9666 0.2468
0.3333 0.6667 0.7493
0.3619 0.3285 0.7532
0.6381 0.6715 0.2468
0.6667 0.3333 0.2507
0.6715 0.0334 0.7532
0.9666 0.6381 0.7532
0.1345 0.6564 0.2515
0.3436 0.4781 0.2515
0.4781 0.1345 0.7485
0.5219 0.8655 0.2515
0.6564 0.5219 0.7485
0.8655 0.3436 0.7485
0.0000 0.0000 0.0000
```

Top 12 peaks for 10° ≤ 2θ ≤ 80°, most intense first:
- 32.0°, I 100, hkl 3 0 0
- 30.4°, I 97, hkl 2 -1 1
- 10.5°, I 45, hkl 1 0 0
- 44.7°, I 33, hkl 2 2 1
- 59.9°, I 31, hkl 3 0 2
- 32.2°, I 31, hkl 0 2 1
- 37.3°, I 30, hkl 2 1 1
- 53.6°, I 25, hkl 5 -2 1
- 56.0°, I 24, hkl 5 -4 1
- 57.0°, I 13, hkl 3 3 0
- 49.2°, I 13, hkl 0 0 2
- 67.0°, I 10, hkl 5 1 1